For NpGeSe3, a structure optimized by DFT (PBE) gives the calculated PXRD pattern in this record (Cu Kα X-rays).

Atomic structure:
a = 4.127 Å, b = 19.597 Å, c = 7.264 Å
α = 90.00°, β = 90.00°, γ = 90.00°
Space group Ama2 (No. 40)
Symmetry-distinct sites (fractional):
Np1 0.250 0.172 0.000
Ge1 0.250 0.347 0.986
Se1 0.250 0.093 0.329
Se2 0.250 0.252 0.670
Se3 0.250 0.401 0.326

Most intense lines, 2θ = 15–90°, by angle:
two_theta, intensity, hkl
18.11, 43, 0 4 0
18.27, 62, 0 3 1
25.23, 76, 1 1 1
26.17, 34, 0 2 2
28.38, 74, 1 3 1
30.64, 32, 0 4 2
33.87, 99, 1 5 1
37.02, 72, 0 6 2
40.88, 84, 1 7 1
43.58, 100, 1 1 3
43.88, 44, 2 0 0
58.70, 45, 2 6 2